Entry 1:
The following is a calculated PXRD pattern of Nd2In8Ag. It was derived from a cell relaxed with PBE, using Cu Ka.
Kinematic intensities with the Lorentz-polarization factor, no thermal factor.

Structural model:
Cell lengths 4.795, 4.795, 12.381 Å; angles 90.00, 90.00, 90.00 degrees
Element x y z (fractional)
1 Nd 0.000 0.000 0.188
2 Nd 0.000 0.000 0.812
3 In 0.000 0.500 0.000
4 In 0.000 0.500 0.371
5 In 0.000 0.500 0.629
6 In 0.500 0.000 0.000
7 In 0.500 0.000 0.371
8 In 0.500 0.000 0.629
9 In 0.500 0.500 0.189
10 In 0.500 0.500 0.811
11 Ag 0.000 0.000 0.500

Largest 8 diffraction maxima, by angle, 10° ≤ 2θ ≤ 80°:
2θ (°)	Rel. int.
30.05	224
34.23	1000
36.28	122
37.51	497
53.17	159
54.10	168
65.59	314
66.40	121

=====

Entry 2:
The following is a calculated PXRD pattern of Nd4In5Ag2. It was derived from a cell relaxed with PBE, using Cu Ka.
Kinematic intensities with the Lorentz-polarization factor, no thermal factor.

Structural model:
Cell lengths 7.968, 3.607, 10.332 Å; angles 90.00, 94.25, 90.00 degrees
Element x y z (fractional)
1 Nd 0.168 0.000 0.380
2 Nd 0.267 0.000 0.943
3 Nd 0.733 0.000 0.057
4 Nd 0.832 0.000 0.620
5 In 0.191 0.500 0.664
6 In 0.440 0.500 0.201
7 In 0.500 0.500 0.500
8 In 0.560 0.500 0.799
9 In 0.809 0.500 0.336
10 Ag 0.062 0.500 0.134
11 Ag 0.938 0.500 0.866

Largest 8 diffraction maxima, by angle, 10° ≤ 2θ ≤ 80°:
2θ (°)	Rel. int.
31.86	579
32.78	510
33.56	416
34.33	467
35.13	308
35.82	1000
37.14	288
63.55	363

=====

Entry 3:
The following is a calculated PXRD pattern of NdIn2Ag2. It was derived from a cell relaxed with PBE, using Cu Ka.
Kinematic intensities with the Lorentz-polarization factor, no thermal factor.

Structural model:
Cell lengths 5.957, 6.585, 7.726 Å; angles 86.05, 67.36, 63.63 degrees
Element x y z (fractional)
1 Nd 0.089 0.255 0.249
2 Nd 0.911 0.745 0.751
3 In 0.112 0.153 0.683
4 In 0.455 0.342 0.814
5 In 0.545 0.658 0.186
6 In 0.888 0.847 0.317
7 Ag 0.274 0.825 0.945
8 Ag 0.457 0.324 0.443
9 Ag 0.543 0.676 0.557
10 Ag 0.726 0.175 0.055

Largest 8 diffraction maxima, by angle, 10° ≤ 2θ ≤ 80°:
2θ (°)	Rel. int.
28.81	331
30.54	576
32.62	586
34.89	333
35.09	1000
35.34	346
37.38	356
44.35	463

=====

Entry 4:
The following is a calculated PXRD pattern of Nd2In3Ag4. It was derived from a cell relaxed with PBE, using Cu Ka.
Kinematic intensities with the Lorentz-polarization factor, no thermal factor.

Structural model:
Cell lengths 8.988, 8.988, 8.164 Å; angles 90.00, 90.00, 139.71 degrees
Element x y z (fractional)
1 Nd 0.102 0.898 0.900
2 Nd 0.398 0.602 0.400
3 Nd 0.602 0.398 0.600
4 Nd 0.898 0.102 0.100
5 In 0.000 0.000 0.500
6 In 0.012 0.488 0.750
7 In 0.488 0.012 0.250
8 In 0.500 0.500 0.000
9 In 0.512 0.988 0.750
10 In 0.988 0.512 0.250
11 Ag 0.170 0.830 0.515
12 Ag 0.183 0.317 0.750
13 Ag 0.317 0.183 0.250
14 Ag 0.330 0.670 0.015
15 Ag 0.670 0.330 0.985
16 Ag 0.683 0.817 0.750
17 Ag 0.817 0.683 0.250
18 Ag 0.830 0.170 0.485

Largest 8 diffraction maxima, by angle, 10° ≤ 2θ ≤ 80°:
2θ (°)	Rel. int.
30.69	266
32.13	676
32.71	415
34.63	324
35.98	189
36.43	1000
38.88	383
63.87	310

=====

Entry 5:
The following is a calculated PXRD pattern of Nd4InAg2Pt. It was derived from a cell relaxed with PBE, using Cu Ka.
Kinematic intensities with the Lorentz-polarization factor, no thermal factor.

Structural model:
Cell lengths 9.157, 9.157, 9.157 Å; angles 33.62, 33.62, 33.62 degrees
Element x y z (fractional)
1 Nd 0.116 0.116 0.116
2 Nd 0.369 0.369 0.369
3 Nd 0.631 0.631 0.631
4 Nd 0.884 0.884 0.884
5 In 0.500 0.500 0.500
6 Ag 0.239 0.239 0.239
7 Ag 0.761 0.761 0.761
8 Pt 0.000 0.000 0.000

Largest 8 diffraction maxima, by angle, 10° ≤ 2θ ≤ 80°:
2θ (°)	Rel. int.
31.07	41
33.87	1000
46.61	52
48.66	166
60.58	269
60.68	54
64.44	41
71.22	61

=====

Entry 6:
The following is a calculated PXRD pattern of Nd4InAg2Ru. It was derived from a cell relaxed with PBE, using Cu Ka.
Kinematic intensities with the Lorentz-polarization factor, no thermal factor.

Structural model:
Cell lengths 9.055, 9.055, 9.055 Å; angles 34.01, 34.01, 34.01 degrees
Element x y z (fractional)
1 Nd 0.112 0.112 0.112
2 Nd 0.366 0.366 0.366
3 Nd 0.634 0.634 0.634
4 Nd 0.888 0.888 0.888
5 In 0.500 0.500 0.500
6 Ag 0.238 0.238 0.238
7 Ag 0.762 0.762 0.762
8 Ru 0.000 0.000 0.000

Largest 8 diffraction maxima, by angle, 10° ≤ 2θ ≤ 80°:
2θ (°)	Rel. int.
31.30	123
33.85	1000
34.19	758
48.88	273
60.56	182
60.78	280
65.07	109
71.22	111

=====

Entry 7:
The following is a calculated PXRD pattern of NdSc2In2Ag2. It was derived from a cell relaxed with PBE, using Cu Ka.
Kinematic intensities with the Lorentz-polarization factor, no thermal factor.

Structural model:
Cell lengths 8.893, 8.893, 8.893 Å; angles 31.12, 31.12, 31.12 degrees
Element x y z (fractional)
1 Nd 0.000 0.000 0.000
2 Sc 0.135 0.135 0.135
3 Sc 0.865 0.865 0.865
4 In 0.258 0.258 0.258
5 In 0.742 0.742 0.742
6 Ag 0.439 0.439 0.439
7 Ag 0.561 0.561 0.561

Largest 8 diffraction maxima, by angle, 10° ≤ 2θ ≤ 80°:
2θ (°)	Rel. int.
25.73	484
32.87	806
37.71	1000
50.10	133
50.87	225
62.78	146
65.03	208
68.07	165

=====

Entry 8:
The following is a calculated PXRD pattern of NdInAgSn. It was derived from a cell relaxed with PBE, using Cu Ka.
Kinematic intensities with the Lorentz-polarization factor, no thermal factor.

Structural model:
Cell lengths 4.537, 4.557, 4.814 Å; angles 90.00, 90.00, 90.00 degrees
Element x y z (fractional)
1 Nd 0.000 0.000 0.000
2 In 0.000 0.500 0.500
3 Ag 0.500 0.000 0.500
4 Sn 0.500 0.500 0.000

Largest 8 diffraction maxima, by angle, 10° ≤ 2θ ≤ 80°:
2θ (°)	Rel. int.
33.51	1000
37.36	186
39.55	159
39.73	157
55.53	116
64.95	145
67.92	126
68.17	125

=====

Entry 9:
The following is a calculated PXRD pattern of InNi2Ag. It was derived from a cell relaxed with PBE, using Cu Ka.
Kinematic intensities with the Lorentz-polarization factor, no thermal factor.

Structural model:
Cell lengths 3.203, 3.203, 5.832 Å; angles 90.00, 90.00, 90.00 degrees
Element x y z (fractional)
1 In 0.000 0.000 0.000
2 Ni 0.500 0.500 0.247
3 Ni 0.500 0.500 0.753
4 Ag 0.000 0.000 0.500

Largest 8 diffraction maxima, by angle, 10° ≤ 2θ ≤ 80°:
2θ (°)	Rel. int.
27.86	114
30.66	45
39.80	581
41.90	1000
57.56	187
63.84	67
73.69	345
77.93	147

=====

Entry 10:
The following is a calculated PXRD pattern of InNiAg2. It was derived from a cell relaxed with PBE, using Cu Ka.
Kinematic intensities with the Lorentz-polarization factor, no thermal factor.

Structural model:
Cell lengths 4.831, 4.831, 4.831 Å; angles 128.07, 128.07, 76.51 degrees
Element x y z (fractional)
1 In 0.000 0.000 0.000
2 Ni 0.250 0.750 0.500
3 Ag 0.500 0.500 0.000
4 Ag 0.750 0.250 0.500

Largest 8 diffraction maxima, by angle, 10° ≤ 2θ ≤ 80°:
2θ (°)	Rel. int.
24.09	46
29.87	16
38.32	1000
42.76	363
47.96	128
62.06	113
66.18	186
75.34	252

=====

Entry 11:
The following is a calculated PXRD pattern of NpIn5Ag. It was derived from a cell relaxed with PBE, using Cu Ka.
Kinematic intensities with the Lorentz-polarization factor, no thermal factor.

Structural model:
Cell lengths 4.793, 4.793, 7.592 Å; angles 90.00, 90.00, 90.00 degrees
Element x y z (fractional)
1 Np 0.000 0.000 0.000
2 In 0.000 0.500 0.287
3 In 0.000 0.500 0.713
4 In 0.500 0.000 0.287
5 In 0.500 0.000 0.713
6 In 0.500 0.500 0.000
7 Ag 0.000 0.000 0.500

Largest 8 diffraction maxima, by angle, 10° ≤ 2θ ≤ 80°:
2θ (°)	Rel. int.
18.51	150
28.85	239
35.50	1000
37.53	438
52.59	111
54.12	149
62.43	178
66.41	340

=====

Entry 12:
The following is a calculated PXRD pattern of In5AgO8. It was derived from a cell relaxed with PBE, using Cu Ka.
Kinematic intensities with the Lorentz-polarization factor, no thermal factor.

Structural model:
Cell lengths 6.595, 6.595, 6.595 Å; angles 60.00, 60.00, 60.00 degrees
Element x y z (fractional)
1 In 0.000 0.000 0.000
2 In 0.378 0.378 0.378
3 In 0.378 0.378 0.867
4 In 0.378 0.867 0.378
5 In 0.867 0.378 0.378
6 Ag 0.750 0.750 0.750
7 O 0.134 0.134 0.134
8 O 0.134 0.134 0.597
9 O 0.134 0.597 0.134
10 O 0.170 0.610 0.610
11 O 0.597 0.134 0.134
12 O 0.610 0.170 0.610
13 O 0.610 0.610 0.170
14 O 0.610 0.610 0.610

Largest 8 diffraction maxima, by angle, 10° ≤ 2θ ≤ 80°:
2θ (°)	Rel. int.
27.04	274
31.82	1000
33.28	220
38.61	126
50.87	382
55.75	405
65.64	118
78.82	200